(1)
Calculated powder diffractogram
Compound: CdCu9
Radiation: Cu Kα (weighted mean of Kα1 and Kα2)
Structure: DFT lattice parameters and positions (GGA-PBE)

Principal peaks in the range 2θ = 10–80°, in order of rising 2θ:
d = 8.352 Å, 2θ = 10.6°, I 13.7; d = 2.272 Å, 2θ = 39.7°, I 10.3; d = 2.160 Å, 2θ = 41.8°, I 44.6; d = 2.079 Å, 2θ = 43.5°, I 100.0; d = 2.056 Å, 2θ = 44.1°, I 50.4; d = 1.907 Å, 2θ = 47.7°, I 29.9; d = 1.834 Å, 2θ = 49.7°, I 34.5; d = 1.712 Å, 2θ = 53.5°, I 26.1; d = 1.274 Å, 2θ = 74.5°, I 14.3; d = 1.252 Å, 2θ = 76.0°, I 17.4

Atomic structure:
```
data_CdCu9
_cell_length_a 2.617
_cell_length_b 3.425
_cell_length_c 33.410
_cell_angle_alpha 90.00
_cell_angle_beta 90.00
_cell_angle_gamma 90.00
_space_group_name_H-M_alt 'P 1'
_space_group_IT_number 1
loop_
_space_group_symop_operation_xyz
'x,y,z'
loop_
_atom_site_label
_atom_site_type_symbol
_atom_site_fract_x
_atom_site_fract_y
_atom_site_fract_z
Cd1 Cd 0.250 0.250 0.111
Cd2 Cd 0.750 0.750 0.889
Cu1 Cu 0.250 0.250 0.206
Cu2 Cu 0.250 0.250 0.284
Cu3 Cu 0.250 0.250 0.362
Cu4 Cu 0.250 0.250 0.441
Cu5 Cu 0.250 0.250 0.520
Cu6 Cu 0.250 0.250 0.599
Cu7 Cu 0.250 0.250 0.677
Cu8 Cu 0.250 0.250 0.755
Cu9 Cu 0.250 0.250 0.834
Cu10 Cu 0.750 0.750 0.166
Cu11 Cu 0.750 0.750 0.245
Cu12 Cu 0.750 0.750 0.323
Cu13 Cu 0.750 0.750 0.401
Cu14 Cu 0.750 0.750 0.480
Cu15 Cu 0.750 0.750 0.559
Cu16 Cu 0.750 0.750 0.638
Cu17 Cu 0.750 0.750 0.716
Cu18 Cu 0.750 0.750 0.794
```

(2)
Calculated powder diffractogram
Compound: PuTl2Cl6
Radiation: Cu Kα (weighted mean of Kα1 and Kα2)
Structure: DFT lattice parameters and positions (GGA-PBE)

Principal peaks in the range 2θ = 10–80°, in order of rising 2θ:
d = 4.937 Å, 2θ = 18.0°, I 100.0; d = 3.780 Å, 2θ = 23.5°, I 79.0; d = 3.491 Å, 2θ = 25.5°, I 21.1; d = 2.565 Å, 2θ = 35.0°, I 81.3; d = 2.469 Å, 2θ = 36.4°, I 23.4; d = 2.208 Å, 2θ = 40.9°, I 19.6; d = 2.067 Å, 2θ = 43.8°, I 28.4; d = 2.046 Å, 2θ = 44.3°, I 19.7; d = 1.779 Å, 2θ = 51.4°, I 18.4; d = 1.585 Å, 2θ = 58.2°, I 17.2

Atomic structure:
```
data_PuTl2Cl6
_cell_length_a 6.983
_cell_length_b 6.983
_cell_length_c 13.487
_cell_angle_alpha 90.00
_cell_angle_beta 90.00
_cell_angle_gamma 90.00
_space_group_name_H-M_alt 'P 1'
_space_group_IT_number 1
loop_
_space_group_symop_operation_xyz
'x,y,z'
loop_
_atom_site_label
_atom_site_type_symbol
_atom_site_fract_x
_atom_site_fract_y
_atom_site_fract_z
Pu1 Pu 0.000 0.000 0.000
Pu2 Pu 0.500 0.500 0.500
Tl1 Tl 0.000 0.000 0.334
Tl2 Tl 0.000 0.000 0.666
Tl3 Tl 0.500 0.500 0.166
Tl4 Tl 0.500 0.500 0.834
Cl1 Cl 0.181 0.181 0.141
Cl2 Cl 0.181 0.181 0.859
Cl3 Cl 0.237 0.237 0.500
Cl4 Cl 0.263 0.737 0.000
Cl5 Cl 0.319 0.681 0.359
Cl6 Cl 0.319 0.681 0.641
Cl7 Cl 0.681 0.319 0.359
Cl8 Cl 0.681 0.319 0.641
Cl9 Cl 0.737 0.263 0.000
Cl10 Cl 0.763 0.763 0.500
Cl11 Cl 0.819 0.819 0.141
Cl12 Cl 0.819 0.819 0.859
```

(3)
Calculated powder diffractogram
Compound: AgSn2Br6
Radiation: Cu Kα (weighted mean of Kα1 and Kα2)
Structure: DFT lattice parameters and positions (GGA-PBE)

Principal peaks in the range 2θ = 10–80°, in order of rising 2θ:
d = 4.627 Å, 2θ = 19.2°, I 100.0; d = 3.196 Å, 2θ = 27.9°, I 40.1; d = 3.159 Å, 2θ = 28.3°, I 33.2; d = 3.002 Å, 2θ = 29.8°, I 45.7; d = 2.953 Å, 2θ = 30.3°, I 60.0; d = 2.565 Å, 2θ = 35.0°, I 44.1; d = 2.552 Å, 2θ = 35.2°, I 94.0; d = 2.472 Å, 2θ = 36.3°, I 40.4; d = 2.008 Å, 2θ = 45.2°, I 54.1; d = 2.002 Å, 2θ = 45.3°, I 35.4

Atomic structure:
```
data_AgSn2Br6
_cell_length_a 9.825
_cell_length_b 6.832
_cell_length_c 8.303
_cell_angle_alpha 90.00
_cell_angle_beta 90.94
_cell_angle_gamma 90.00
_space_group_name_H-M_alt 'P 1'
_space_group_IT_number 1
loop_
_space_group_symop_operation_xyz
'x,y,z'
loop_
_atom_site_label
_atom_site_type_symbol
_atom_site_fract_x
_atom_site_fract_y
_atom_site_fract_z
Ag1 Ag 0.000 0.000 0.000
Ag2 Ag 0.000 0.500 0.500
Sn1 Sn 0.289 0.027 0.589
Sn2 Sn 0.289 0.473 0.089
Sn3 Sn 0.711 0.527 0.911
Sn4 Sn 0.711 0.973 0.411
Br1 Br 0.073 0.183 0.343
Br2 Br 0.073 0.317 0.843
Br3 Br 0.250 0.645 0.457
Br4 Br 0.250 0.855 0.957
Br5 Br 0.445 0.145 0.324
Br6 Br 0.445 0.355 0.824
Br7 Br 0.555 0.645 0.176
Br8 Br 0.555 0.855 0.676
Br9 Br 0.750 0.145 0.043
Br10 Br 0.750 0.355 0.543
Br11 Br 0.927 0.683 0.157
Br12 Br 0.927 0.817 0.657
```

(4)
Calculated powder diffractogram
Compound: KTcO4
Radiation: Cu Kα (weighted mean of Kα1 and Kα2)
Structure: DFT lattice parameters and positions (GGA-PBE)

Principal peaks in the range 2θ = 10–80°, in order of rising 2θ:
d = 5.091 Å, 2θ = 17.4°, I 38.1; d = 3.366 Å, 2θ = 26.5°, I 17.2; d = 3.341 Å, 2θ = 26.7°, I 100.0; d = 3.172 Å, 2θ = 28.1°, I 13.7; d = 2.779 Å, 2θ = 32.2°, I 18.5; d = 2.090 Å, 2θ = 43.3°, I 27.8; d = 1.862 Å, 2θ = 48.9°, I 15.5; d = 1.694 Å, 2θ = 54.1°, I 23.2; d = 1.670 Å, 2θ = 55.0°, I 12.1; d = 1.352 Å, 2θ = 69.6°, I 13.1

Atomic structure:
```
data_KTcO4
_cell_length_a 7.463
_cell_length_b 7.463
_cell_length_c 7.463
_cell_angle_alpha 136.27
_cell_angle_beta 136.27
_cell_angle_gamma 63.56
_space_group_name_H-M_alt 'P 1'
_space_group_IT_number 1
loop_
_space_group_symop_operation_xyz
'x,y,z'
loop_
_atom_site_label
_atom_site_type_symbol
_atom_site_fract_x
_atom_site_fract_y
_atom_site_fract_z
K1 K 0.375 0.125 0.250
K2 K 0.625 0.875 0.750
Tc1 Tc 0.125 0.375 0.750
Tc2 Tc 0.875 0.625 0.250
O1 O 0.090 0.222 0.406
O2 O 0.184 0.590 0.368
O3 O 0.278 0.184 0.868
O4 O 0.316 0.684 0.094
O5 O 0.684 0.316 0.906
O6 O 0.722 0.816 0.132
O7 O 0.816 0.410 0.632
O8 O 0.910 0.778 0.594
```

(5)
Calculated powder diffractogram
Compound: Li6Pd2O7
Radiation: Cu Kα (weighted mean of Kα1 and Kα2)
Structure: DFT lattice parameters and positions (GGA-PBE)

Principal peaks in the range 2θ = 10–80°, in order of rising 2θ:
d = 5.568 Å, 2θ = 15.9°, I 100.0; d = 5.010 Å, 2θ = 17.7°, I 47.2; d = 3.832 Å, 2θ = 23.2°, I 16.9; d = 3.648 Å, 2θ = 24.4°, I 26.4; d = 3.194 Å, 2θ = 27.9°, I 20.0; d = 3.081 Å, 2θ = 29.0°, I 15.8; d = 2.896 Å, 2θ = 30.9°, I 20.5; d = 2.084 Å, 2θ = 43.4°, I 21.5; d = 2.073 Å, 2θ = 43.7°, I 20.9; d = 2.063 Å, 2θ = 43.9°, I 20.9

Atomic structure:
```
data_Li6Pd2O7
_cell_length_a 5.094
_cell_length_b 5.110
_cell_length_c 5.826
_cell_angle_alpha 73.09
_cell_angle_beta 89.37
_cell_angle_gamma 79.87
_space_group_name_H-M_alt 'P 1'
_space_group_IT_number 1
loop_
_space_group_symop_operation_xyz
'x,y,z'
loop_
_atom_site_label
_atom_site_type_symbol
_atom_site_fract_x
_atom_site_fract_y
_atom_site_fract_z
Li1 Li 0.081 0.276 0.442
Li2 Li 0.363 0.730 0.829
Li3 Li 0.370 0.715 0.307
Li4 Li 0.630 0.285 0.693
Li5 Li 0.637 0.270 0.171
Li6 Li 0.919 0.724 0.558
Pd1 Pd 0.130 0.248 0.934
Pd2 Pd 0.870 0.752 0.066
O1 O 0.006 0.003 0.756
O2 O 0.229 0.489 0.127
O3 O 0.265 0.480 0.633
O4 O 0.500 0.000 0.000
O5 O 0.735 0.520 0.367
O6 O 0.771 0.511 0.873
O7 O 0.994 0.997 0.244
```

(6)
Calculated powder diffractogram
Compound: YHo2Sn4Au4
Radiation: Cu Kα (weighted mean of Kα1 and Kα2)
Structure: DFT lattice parameters and positions (GGA-PBE)

Principal peaks in the range 2θ = 10–80°, in order of rising 2θ:
d = 7.740 Å, 2θ = 11.4°, I 32.3; d = 2.792 Å, 2θ = 32.1°, I 100.0; d = 2.731 Å, 2θ = 32.8°, I 66.4; d = 2.580 Å, 2θ = 34.8°, I 32.1; d = 2.487 Å, 2θ = 36.1°, I 57.4; d = 2.273 Å, 2θ = 39.6°, I 51.6; d = 2.193 Å, 2θ = 41.2°, I 31.2; d = 2.092 Å, 2θ = 43.2°, I 25.8; d = 1.706 Å, 2θ = 53.7°, I 23.4; d = 1.578 Å, 2θ = 58.5°, I 22.4

Atomic structure:
```
data_YHo2Sn4Au4
_cell_length_a 8.848
_cell_length_b 8.848
_cell_length_c 8.848
_cell_angle_alpha 150.22
_cell_angle_beta 131.50
_cell_angle_gamma 57.95
_space_group_name_H-M_alt 'P 1'
_space_group_IT_number 1
loop_
_space_group_symop_operation_xyz
'x,y,z'
loop_
_atom_site_label
_atom_site_type_symbol
_atom_site_fract_x
_atom_site_fract_y
_atom_site_fract_z
Y1 Y 0.000 0.000 0.000
Ho1 Ho 0.371 0.871 0.500
Ho2 Ho 0.629 0.129 0.500
Sn1 Sn 0.214 0.214 0.000
Sn2 Sn 0.303 0.500 0.803
Sn3 Sn 0.697 0.500 0.197
Sn4 Sn 0.786 0.786 0.000
Au1 Au 0.036 0.331 0.705
Au2 Au 0.374 0.669 0.705
Au3 Au 0.626 0.331 0.295
Au4 Au 0.964 0.669 0.295
```

(7)
Calculated powder diffractogram
Compound: IrO3
Radiation: Cu Kα (weighted mean of Kα1 and Kα2)
Structure: DFT lattice parameters and positions (GGA-PBE)

Principal peaks in the range 2θ = 10–80°, in order of rising 2θ:
d = 4.253 Å, 2θ = 20.9°, I 10.9; d = 4.017 Å, 2θ = 22.1°, I 100.0; d = 3.816 Å, 2θ = 23.3°, I 44.3; d = 3.104 Å, 2θ = 28.8°, I 67.5; d = 2.562 Å, 2θ = 35.0°, I 13.7; d = 2.408 Å, 2θ = 37.3°, I 23.2; d = 2.362 Å, 2θ = 38.1°, I 18.2; d = 2.168 Å, 2θ = 41.7°, I 21.5; d = 2.135 Å, 2θ = 42.3°, I 19.4; d = 1.950 Å, 2θ = 46.6°, I 28.3

Atomic structure:
```
data_IrO3
_cell_length_a 4.947
_cell_length_b 4.947
_cell_length_c 5.036
_cell_angle_alpha 102.77
_cell_angle_beta 102.77
_cell_angle_gamma 118.56
_space_group_name_H-M_alt 'P 1'
_space_group_IT_number 1
loop_
_space_group_symop_operation_xyz
'x,y,z'
loop_
_atom_site_label
_atom_site_type_symbol
_atom_site_fract_x
_atom_site_fract_y
_atom_site_fract_z
Ir1 Ir 0.098 0.902 0.750
Ir2 Ir 0.902 0.098 0.250
O1 O 0.000 0.500 0.500
O2 O 0.157 0.288 0.021
O3 O 0.288 0.157 0.521
O4 O 0.500 0.000 0.000
O5 O 0.712 0.843 0.479
O6 O 0.843 0.712 0.979
```

(8)
Calculated powder diffractogram
Compound: NbInAu
Radiation: Cu Kα (weighted mean of Kα1 and Kα2)
Structure: DFT lattice parameters and positions (GGA-PBE)

Principal peaks in the range 2θ = 10–80°, in order of rising 2θ:
d = 4.093 Å, 2θ = 21.7°, I 19.4; d = 3.082 Å, 2θ = 29.0°, I 12.3; d = 2.462 Å, 2θ = 36.5°, I 100.0; d = 2.363 Å, 2θ = 38.1°, I 96.8; d = 1.875 Å, 2θ = 48.5°, I 18.3; d = 1.705 Å, 2θ = 53.8°, I 32.6; d = 1.541 Å, 2θ = 60.0°, I 8.4; d = 1.383 Å, 2θ = 67.8°, I 32.4; d = 1.364 Å, 2θ = 68.8°, I 16.8; d = 1.291 Å, 2θ = 73.3°, I 28.0

Atomic structure:
```
data_NbInAu
_cell_length_a 4.727
_cell_length_b 4.727
_cell_length_c 3.082
_cell_angle_alpha 90.00
_cell_angle_beta 90.00
_cell_angle_gamma 120.00
_space_group_name_H-M_alt 'P 1'
_space_group_IT_number 1
loop_
_space_group_symop_operation_xyz
'x,y,z'
loop_
_atom_site_label
_atom_site_type_symbol
_atom_site_fract_x
_atom_site_fract_y
_atom_site_fract_z
Nb1 Nb 0.000 0.000 0.000
In1 In 0.333 0.667 0.500
Au1 Au 0.667 0.333 0.000
```